Diffraction record for Sc2Mn2Ge2H. The PXRD pattern is computed, not measured: it uses a crystal structure in Alexandria, relaxed with PBE and λ = 1.5418 Å (Cu Kα).
Intensities are scaled so that the largest is 100.

The 10 most intense peaks (10° ≤ 2θ ≤ 90°), sorted by position:
2θ = 12.91°, intensity 30
2θ = 24.27°, intensity 19
2θ = 33.29°, intensity 18
2θ = 35.84°, intensity 41
2θ = 40.53°, intensity 34
2θ = 42.70°, intensity 100
2θ = 47.79°, intensity 48
2θ = 64.41°, intensity 16
2θ = 69.90°, intensity 14
2θ = 85.50°, intensity 36

Structure:
```
7
Lattice="-1.9031 1.9031 6.8595 1.9031 -1.9031 6.8595 1.9031 1.9031 -6.8595" Properties=species:S:1:pos:R:3 pbc="T T T"
Sc 0.0000 0.0000 2.3014
Sc 0.0000 0.0000 11.4177
Mn 1.9031 0.0000 0.0000
Mn 0.0000 1.9031 0.0000
Ge 0.0000 0.0000 5.1796
Ge 0.0000 0.0000 8.5395
H 0.0000 0.0000 0.0000
```